Diffraction record for Eu2MgAg2W4O16. The PXRD pattern is simulated, not measured: it uses a structure optimized by DFT (GGA+U) and Cu Kα, 1.54184 Å.
Lines closer than 0.1° are merged.

The 10 most intense peaks (2θ = 10–90°), in order of rising 2θ:
2θ (°)	I_rel	hkl
13.67	83	1 0 0
15.01	50	1 1 1
23.94	98	0 0 2
24.28	64	1 1 -1
26.90	100	1 2 2
27.25	78	0 2 0
27.53	82	2 0 0
31.81	88	2 0 2
32.74	56	2 2 0
34.54	53	0 1 3

Atomic structure:
```
data_Eu2MgAg2W4O16
_chemical_formula_sum 'Eu2 Mg1 Ag2 W4 O16'
_space_group_name_H-M_alt 'P -1'
_space_group_IT_number 2
_cell_length_a 7.295
_cell_length_b 7.498
_cell_length_c 8.410
_cell_angle_alpha 65.85
_cell_angle_beta 68.22
_cell_angle_gamma 66.49
loop_
_space_group_symop_operation_xyz
'x,y,z'
'-x,-y,-z'
loop_
_atom_site_label
_atom_site_type_symbol
_atom_site_fract_x
_atom_site_fract_y
_atom_site_fract_z
_atom_site_occupancy
Eu1 Eu 0.179 0.276 0.358 1
Mg1 Mg 0.500 0.500 0.000 1
Ag1 Ag 0.238 0.342 0.760 1
W1 W 0.154 0.843 0.864 1
W2 W 0.238 0.775 0.254 1
O1 O 0.068 0.702 0.789 1
O2 O 0.093 0.109 0.682 1
O3 O 0.161 0.008 0.022 1
O4 O 0.180 0.627 0.103 1
O5 O 0.193 0.552 0.455 1
O6 O 0.269 0.936 0.347 1
O7 O 0.439 0.764 0.781 1
O8 O 0.493 0.327 0.866 1
```